# 1
For Ca2MgBr6, the GGA-PBE geometry in Alexandria gives the theoretical powder diffractogram in this record (Cu Kα (λ = 1.5418 Å)).
Peak positions follow from Bragg's law for the DFT cell and can differ from measured ones.

Largest 8 diffraction maxima, sorted by position, 10 to 90 degrees two-theta:
d_spacing  I_rel
6.983  532
3.491  309
3.263  548
3.133  1000
2.639  341
2.444  349
2.075  499
2.000  341

Atomic structure:
Unit cell a=7.8440 b=7.8440 c=10.5583 alpha=108.11 beta=108.11 gamma=30.70
Atoms (fractional coordinates):
Ca 0.1668 0.1668 0.3256
Ca 0.8332 0.8332 0.6744
Mg 0.5000 0.5000 0.0000
Br 0.1271 0.1271 0.0370
Br 0.1915 0.1915 0.6133
Br 0.4751 0.4751 0.7360
Br 0.5249 0.5249 0.2640
Br 0.8085 0.8085 0.3867
Br 0.8729 0.8729 0.9630

=====

# 2
For CaMgBr4, the GGA-PBE geometry in Alexandria gives the theoretical powder diffractogram in this record (Cu Kα (λ = 1.5418 Å)).
Peak positions follow from Bragg's law for the DFT cell and can differ from measured ones.

Largest 8 diffraction maxima, sorted by position, 10 to 90 degrees two-theta:
d_spacing  I_rel
6.944  477
3.472  301
3.390  303
3.335  627
2.936  1000
2.913  484
2.086  322
2.050  333

Atomic structure:
Unit cell a=7.1242 b=4.0671 c=7.2959 alpha=90.00 beta=107.87 gamma=90.00
Atoms (fractional coordinates):
Ca 0.0000 0.0000 0.0000
Mg 0.5000 0.5000 0.0000
Br 0.2593 0.5000 0.2241
Br 0.2814 0.0000 0.7824
Br 0.7186 0.0000 0.2176
Br 0.7407 0.5000 0.7759

=====

# 3
For Ca3MgBr8, the GGA-PBE geometry in Alexandria gives the theoretical powder diffractogram in this record (Cu Kα (λ = 1.5418 Å)).
Peak positions follow from Bragg's law for the DFT cell and can differ from measured ones.

Largest 8 diffraction maxima, sorted by position, 10 to 90 degrees two-theta:
d_spacing  I_rel
6.922  467
3.461  259
3.444  282
3.422  565
2.987  1000
2.956  495
2.105  321
2.097  536

Atomic structure:
Unit cell a=8.3889 b=8.3889 c=8.5053 alpha=120.21 beta=120.21 gamma=60.01
Atoms (fractional coordinates):
Ca 0.0000 0.0000 0.0000
Ca 0.0000 0.5000 0.0000
Ca 0.5000 0.0000 0.0000
Mg 0.5000 0.5000 0.0000
Br 0.2447 0.2447 0.2292
Br 0.2616 0.7320 0.2210
Br 0.2684 0.2684 0.7792
Br 0.2680 0.7384 0.7790
Br 0.7320 0.2616 0.2210
Br 0.7316 0.7316 0.2208
Br 0.7384 0.2680 0.7790
Br 0.7553 0.7553 0.7708

=====

# 4
For Ca2Mg2Br7, the GGA-PBE geometry in Alexandria gives the theoretical powder diffractogram in this record (Cu Kα (λ = 1.5418 Å)).
Peak positions follow from Bragg's law for the DFT cell and can differ from measured ones.

Largest 8 diffraction maxima, sorted by position, 10 to 90 degrees two-theta:
d_spacing  I_rel
4.904  546
4.807  789
3.521  774
3.423  716
3.281  671
2.706  1000
2.586  700
1.855  491

Atomic structure:
Unit cell a=7.5774 b=7.5774 c=7.5849 alpha=93.92 beta=93.92 gamma=111.00
Atoms (fractional coordinates):
Ca 0.1835 0.8165 0.0000
Ca 0.8165 0.1835 0.0000
Mg 0.2286 0.2286 0.6083
Mg 0.7714 0.7714 0.3917
Br 0.0721 0.4504 0.7795
Br 0.0754 0.0754 0.2531
Br 0.4504 0.0721 0.7795
Br 0.5000 0.5000 0.5000
Br 0.5496 0.9279 0.2205
Br 0.9246 0.9246 0.7469
Br 0.9279 0.5496 0.2205

=====

# 5
For CaMgBr2, the GGA-PBE geometry in Alexandria gives the theoretical powder diffractogram in this record (Cu Kα (λ = 1.5418 Å)).
Peak positions follow from Bragg's law for the DFT cell and can differ from measured ones.

Largest 8 diffraction maxima, sorted by position, 10 to 90 degrees two-theta:
d_spacing  I_rel
3.815  262
3.581  421
3.524  248
3.320  285
3.189  674
2.758  1000
2.130  271
2.079  456

Atomic structure:
Unit cell a=11.6944 b=11.6944 c=11.6944 alpha=20.48 beta=20.48 gamma=20.48
Atoms (fractional coordinates):
Ca 0.0000 0.0000 0.0000
Mg 0.5000 0.5000 0.5000
Br 0.3807 0.3807 0.3807
Br 0.6193 0.6193 0.6193

=====

# 6
For CaMgBrO, the GGA-PBE geometry in Alexandria gives the theoretical powder diffractogram in this record (Cu Kα (λ = 1.5418 Å)).
Peak positions follow from Bragg's law for the DFT cell and can differ from measured ones.

Largest 8 diffraction maxima, sorted by position, 10 to 90 degrees two-theta:
d_spacing  I_rel
5.320  235
4.847  1000
3.459  275
3.003  125
2.783  413
2.682  444
2.639  219
2.211  194

Atomic structure:
Unit cell a=6.6071 b=6.6071 c=5.6298 alpha=108.36 beta=108.36 gamma=31.73
Atoms (fractional coordinates):
Ca 0.0000 0.0000 0.0000
Mg 0.3605 0.3605 0.4430
Br 0.6883 0.6883 0.3553
O 0.4439 0.4439 0.7888

=====

# 7
For Ca3MnBr8, the GGA-PBE geometry in Alexandria gives the theoretical powder diffractogram in this record (Cu Kα (λ = 1.5418 Å)).
Peak positions follow from Bragg's law for the DFT cell and can differ from measured ones.

Largest 8 diffraction maxima, sorted by position, 10 to 90 degrees two-theta:
d_spacing  I_rel
6.984  557
3.492  212
3.438  228
3.419  458
2.989  1000
2.964  498
2.117  324
2.093  532

Atomic structure:
Unit cell a=8.3715 b=8.3715 c=8.5409 alpha=119.90 beta=119.90 gamma=59.99
Atoms (fractional coordinates):
Ca 0.0000 0.0000 0.0000
Ca 0.0000 0.5000 0.0000
Ca 0.5000 0.0000 0.0000
Mn 0.5000 0.5000 0.0000
Br 0.2439 0.2439 0.2279
Br 0.2616 0.7310 0.2199
Br 0.2685 0.2685 0.7798
Br 0.2690 0.7384 0.7801
Br 0.7310 0.2616 0.2199
Br 0.7315 0.7315 0.2202
Br 0.7384 0.2690 0.7801
Br 0.7561 0.7561 0.7721

=====

# 8
For CaMnBr4, the GGA-PBE geometry in Alexandria gives the theoretical powder diffractogram in this record (Cu Kα (λ = 1.5418 Å)).
Peak positions follow from Bragg's law for the DFT cell and can differ from measured ones.

Largest 8 diffraction maxima, sorted by position, 10 to 90 degrees two-theta:
d_spacing  I_rel
7.338  1000
3.502  213
3.437  283
3.315  563
2.872  532
2.696  878
2.034  523
1.903  321

Atomic structure:
Unit cell a=7.0739 b=4.0674 c=7.5405 alpha=90.00 beta=103.32 gamma=90.00
Atoms (fractional coordinates):
Ca 0.0000 0.0000 0.0000
Mn 0.5000 0.5000 0.0000
Br 0.1348 0.5000 0.7859
Br 0.4022 0.0000 0.2065
Br 0.5978 0.0000 0.7935
Br 0.8652 0.5000 0.2141

=====

# 9
For CaMnTlBr5, the GGA-PBE geometry in Alexandria gives the theoretical powder diffractogram in this record (Cu Kα (λ = 1.5418 Å)).
Peak positions follow from Bragg's law for the DFT cell and can differ from measured ones.

Largest 8 diffraction maxima, sorted by position, 10 to 90 degrees two-theta:
d_spacing  I_rel
4.789  898
4.367  615
3.823  732
3.362  1000
3.349  906
3.067  748
3.017  860
2.400  604

Atomic structure:
Unit cell a=7.9498 b=7.9498 c=10.4668 alpha=103.91 beta=103.91 gamma=106.32
Atoms (fractional coordinates):
Ca 0.0000 0.0000 0.0000
Ca 0.0000 0.0000 0.5000
Mn 0.3182 0.6818 0.7500
Mn 0.6818 0.3182 0.2500
Tl 0.3413 0.6587 0.2500
Tl 0.6587 0.3413 0.7500
Br 0.0857 0.9143 0.2500
Br 0.0900 0.6730 0.8797
Br 0.2580 0.3841 0.5641
Br 0.3270 0.9100 0.6203
Br 0.3841 0.2580 0.0641
Br 0.6159 0.7420 0.9359
Br 0.6730 0.0900 0.3797
Br 0.7420 0.6159 0.4359
Br 0.9100 0.3270 0.1203
Br 0.9143 0.0857 0.7500

=====

# 10
For CaMnTl2Br6, the GGA-PBE geometry in Alexandria gives the theoretical powder diffractogram in this record (Cu Kα (λ = 1.5418 Å)).
Peak positions follow from Bragg's law for the DFT cell and can differ from measured ones.

Largest 8 diffraction maxima, sorted by position, 10 to 90 degrees two-theta:
d_spacing  I_rel
3.909  373
3.847  343
3.312  555
3.183  984
3.117  315
2.742  1000
2.257  330
2.112  261

Atomic structure:
Unit cell a=7.6896 b=7.6979 c=7.7010 alpha=61.04 beta=61.10 gamma=61.03
Atoms (fractional coordinates):
Ca 0.0000 0.0000 0.0000
Mn 0.5000 0.5000 0.5000
Tl 0.2736 0.2732 0.2748
Tl 0.7264 0.7268 0.7252
Br 0.1863 0.3330 0.7310
Br 0.2654 0.8136 0.6672
Br 0.3344 0.7329 0.1853
Br 0.6656 0.2671 0.8147
Br 0.7346 0.1864 0.3328
Br 0.8137 0.6670 0.2690

=====

# 11
For Rb2CaMoBr6, the GGA-PBE geometry in Alexandria gives the theoretical powder diffractogram in this record (Cu Kα (λ = 1.5418 Å)).
Peak positions follow from Bragg's law for the DFT cell and can differ from measured ones.

Largest 8 diffraction maxima, sorted by position, 10 to 90 degrees two-theta:
d_spacing  I_rel
3.890  181
3.176  836
2.751  1000
1.945  697
1.659  348
1.588  236
1.230  296
1.123  226

Atomic structure:
Unit cell a=7.7804 b=7.7804 c=7.7804 alpha=60.00 beta=60.00 gamma=60.00
Atoms (fractional coordinates):
Rb 0.2500 0.2500 0.2500
Rb 0.7500 0.7500 0.7500
Ca 0.0000 0.0000 0.0000
Mo 0.5000 0.5000 0.5000
Br 0.2601 0.2601 0.7399
Br 0.2601 0.7399 0.2601
Br 0.2601 0.7399 0.7399
Br 0.7399 0.2601 0.2601
Br 0.7399 0.2601 0.7399
Br 0.7399 0.7399 0.2601

=====

# 12
For CaBr3N2, the GGA-PBE geometry in Alexandria gives the theoretical powder diffractogram in this record (Cu Kα (λ = 1.5418 Å)).
Peak positions follow from Bragg's law for the DFT cell and can differ from measured ones.

Largest 8 diffraction maxima, sorted by position, 10 to 90 degrees two-theta:
d_spacing  I_rel
7.077  268
4.936  219
4.269  1000
2.938  268
2.740  313
2.682  196
2.412  290
2.359  252

Atomic structure:
Unit cell a=4.9638 b=4.9658 c=14.3170 alpha=96.16 beta=95.97 gamma=90.44
Atoms (fractional coordinates):
Ca 0.1963 0.3003 0.2497
Ca 0.8037 0.6997 0.7503
Br 0.1177 0.6180 0.0862
Br 0.1185 0.6181 0.5857
Br 0.3539 0.1487 0.7492
Br 0.6461 0.8513 0.2508
Br 0.8815 0.3819 0.4143
Br 0.8823 0.3820 0.9138
N 0.2876 0.7866 0.2463
N 0.2893 0.7906 0.7458
N 0.7107 0.2094 0.2542
N 0.7124 0.2134 0.7537

=====

# 13
For Ca3Br2N2, the GGA-PBE geometry in Alexandria gives the theoretical powder diffractogram in this record (Cu Kα (λ = 1.5418 Å)).
Peak positions follow from Bragg's law for the DFT cell and can differ from measured ones.

Largest 8 diffraction maxima, sorted by position, 10 to 90 degrees two-theta:
d_spacing  I_rel
3.433  1000
3.149  482
3.089  481
2.745  711
2.710  484
2.606  812
2.508  454
2.477  702

Atomic structure:
Unit cell a=5.8613 b=7.9980 c=7.1226 alpha=90.00 beta=109.91 gamma=90.00
Atoms (fractional coordinates):
Ca 0.0000 0.0000 0.0000
Ca 0.0000 0.5000 0.5000
Ca 0.4064 0.1441 0.7258
Ca 0.4064 0.3559 0.2258
Ca 0.5936 0.6441 0.7742
Ca 0.5936 0.8559 0.2742
Br 0.1732 0.6406 0.9195
Br 0.1732 0.8594 0.4195
Br 0.8268 0.1406 0.5805
Br 0.8268 0.3594 0.0805
N 0.3889 0.0237 0.0109
N 0.3889 0.4763 0.5109
N 0.6111 0.5237 0.4891
N 0.6111 0.9763 0.9891

=====

# 14
For Ca3Br2N, the GGA-PBE geometry in Alexandria gives the theoretical powder diffractogram in this record (Cu Kα (λ = 1.5418 Å)).
Peak positions follow from Bragg's law for the DFT cell and can differ from measured ones.

Largest 8 diffraction maxima, sorted by position, 10 to 90 degrees two-theta:
d_spacing  I_rel
4.224  447
3.880  580
3.437  351
2.981  342
2.957  661
2.542  1000
2.301  347
1.816  297

Atomic structure:
Unit cell a=8.4917 b=8.4917 c=5.9134 alpha=90.00 beta=90.00 gamma=54.38
Atoms (fractional coordinates):
Ca 0.1291 0.8709 0.5000
Ca 0.2059 0.5660 0.0446
Ca 0.4340 0.7941 0.0446
Ca 0.5660 0.2059 0.5446
Ca 0.7941 0.4340 0.5446
Ca 0.8709 0.1291 0.0000
Br 0.1174 0.5150 0.5489
Br 0.4850 0.8826 0.5489
Br 0.5150 0.1174 0.0489
Br 0.8826 0.4850 0.0489
N 0.1517 0.8483 0.1089
N 0.8483 0.1517 0.6089